The following is a theoretical powder diffraction line list of PrSmY2Tm5. It was derived from a crystal structure in Alexandria, relaxed with PBE, using Cu Kα, 1.54184 Å.
Kinematic intensities with the Lorentz-polarization factor, no thermal factor.

Structural model:
Unit cell a=8.7295 b=8.7295 c=15.0966 alpha=90.00 beta=90.00 gamma=90.00
Space group I4/mcm (No. 140)
Symmetry-distinct sites (fractional):
Pr  0.0000  0.5000  0.2500 [4 per cell]
Sm  0.0000  0.0000  0.2500 [4 per cell]
Y  0.1168  0.3832  0.0000 [8 per cell]
Tm  0.0000  0.0000  0.0000 [4 per cell]
Tm  0.2049  0.2951  0.3644 [16 per cell]

The 8 most intense peaks (2θ from 10° to 90°), by angle:
- 2θ = 28.94°, intensity 88
- 2θ = 31.33°, intensity 100
- 2θ = 37.64°, intensity 19
- 2θ = 43.15°, intensity 17
- 2θ = 46.54°, intensity 15
- 2θ = 48.22°, intensity 14
- 2θ = 52.80°, intensity 24
- 2θ = 57.21°, intensity 18

=====

The following is a theoretical powder diffraction line list of TlCd2Co2. It was derived from a crystal structure in Alexandria, relaxed with PBE, using Cu Kα, 1.54184 Å.
Kinematic intensities with the Lorentz-polarization factor, no thermal factor.

Structural model:
Unit cell a=6.6376 b=6.6376 c=4.0978 alpha=90.00 beta=90.00 gamma=90.00
Space group P4/mbm (No. 127)
Symmetry-distinct sites (fractional):
Tl  0.0000  0.0000  0.0000 [2 per cell]
Cd  0.1642  0.3358  0.5000 [4 per cell]
Co  0.1224  0.6224  0.0000 [4 per cell]

The 8 most intense peaks (2θ from 10° to 90°), by angle:
- 2θ = 28.92°, intensity 55
- 2θ = 34.78°, intensity 88
- 2θ = 37.41°, intensity 100
- 2θ = 38.36°, intensity 22
- 2θ = 43.10°, intensity 71
- 2θ = 44.20°, intensity 35
- 2θ = 63.44°, intensity 44
- 2θ = 76.83°, intensity 29

=====

The following is a theoretical powder diffraction line list of La2Sn3SbRh4. It was derived from a crystal structure in Alexandria, relaxed with PBE, using Cu Kα, 1.54184 Å.
Kinematic intensities with the Lorentz-polarization factor, no thermal factor.

Structural model:
Unit cell a=4.5459 b=4.5459 c=10.7340 alpha=90.00 beta=90.00 gamma=90.00
Space group P-4m2 (No. 115)
Symmetry-distinct sites (fractional):
La  0.0000  0.5000  0.2487 [2 per cell]
Sn  0.0000  0.0000  0.0000 [1 per cell]
Sn  0.0000  0.5000  0.6288 [2 per cell]
Sb  0.5000  0.5000  0.0000 [1 per cell]
Rh  0.0000  0.0000  0.5000 [1 per cell]
Rh  0.0000  0.5000  0.8726 [2 per cell]
Rh  0.5000  0.5000  0.5000 [1 per cell]

The 8 most intense peaks (2θ from 10° to 90°), by angle:
- 2θ = 31.83°, intensity 63
- 2θ = 32.47°, intensity 100
- 2θ = 39.65°, intensity 73
- 2θ = 43.95°, intensity 31
- 2θ = 46.80°, intensity 25
- 2θ = 51.72°, intensity 32
- 2θ = 57.33°, intensity 25
- 2θ = 67.45°, intensity 24

=====

Q: Number 1 is which compound?
A: PrSmY2Tm5